Record 1
For Cs2SmCuCl6, a DFT-relaxed cell (PBE, the Materials Project) gives the theoretical powder diffraction line list in this record (Cu Kα, 1.54184 Å).

Top 6 peaks for 15 to 90 degrees two-theta, low angle first:
two_theta  I (rel.)
23.71  100
33.78  59
41.69  46
48.52  40
54.70  21
65.85  24

Structural model:
Cell lengths 7.5049, 7.5049, 7.5049 Å; angles 60.00, 60.00, 60.00 degrees
Element x y z (fractional)
Cs  0.2500  0.2500  0.2500
Cs  0.7500  0.7500  0.7500
Sm  0.0000  0.0000  0.0000
Cu  0.5000  0.5000  0.5000
Cl  0.2554  0.2554  0.7446
Cl  0.2554  0.7446  0.2554
Cl  0.2554  0.7446  0.7446
Cl  0.7446  0.2554  0.2554
Cl  0.7446  0.2554  0.7446
Cl  0.7446  0.7446  0.2554



Record 2
For NiMo3S4, a DFT-relaxed cell (PBE, the Materials Project) gives the theoretical powder diffraction line list in this record (Cu Kα, 1.54184 Å).

Top 6 peaks for 15 to 90 degrees two-theta, low angle first:
two_theta  I (rel.)
17.87  71
26.37  100
28.97  75
34.39  85
46.66  82
47.71  81

Structural model:
Cell lengths 6.4167, 6.5691, 6.5898 Å; angles 98.21, 97.02, 91.40 degrees
Element x y z (fractional)
Ni  0.1652  0.4085  0.4432
Ni  0.8348  0.5915  0.5568
Mo  0.2194  0.0437  0.9097
Mo  0.4078  0.7128  0.0355
Mo  0.4580  0.1033  0.2932
Mo  0.5420  0.8967  0.7068
Mo  0.5922  0.2872  0.9645
Mo  0.7806  0.9563  0.0903
S  0.1429  0.8862  0.2184
S  0.1972  0.6884  0.6932
S  0.2696  0.3771  0.1302
S  0.3582  0.2191  0.6444
S  0.6418  0.7809  0.3556
S  0.7304  0.6229  0.8698
S  0.8028  0.3116  0.3068
S  0.8571  0.1138  0.7816